[1]
Diffraction record for LiCa2Tl3. The powder X-ray diffraction pattern is calculated, not measured: it uses a crystal structure in Alexandria, relaxed with PBE and Cu Kα (weighted mean of Kα1 and Kα2).

Peak list (6 most intense, 2θ from 10° to 90°, low angle first)
| d/Å | Position (°2θ) | Rel. int. |
| --- | --- | --- |
| 3.861 | 23.03 | 65 |
| 3.761 | 23.66 | 68 |
| 3.694 | 24.09 | 66 |
| 2.694 | 33.25 | 100 |
| 2.669 | 33.57 | 96 |
| 2.629 | 34.10 | 51 |

Structure:
abc: 5.260 7.723 8.307
angles: 90.00 107.43 90.00
Fractional positions:
Li1 0.161 0.000 0.323
Li2 0.839 0.000 0.677
Ca1 0.166 0.500 0.331
Ca2 0.500 0.000 0.000
Ca3 0.500 0.500 0.000
Ca4 0.834 0.500 0.669
Tl1 0.000 0.235 0.000
Tl2 0.000 0.765 0.000
Tl3 0.326 0.220 0.651
Tl4 0.326 0.780 0.651
Tl5 0.674 0.220 0.349
Tl6 0.674 0.780 0.349

---

[2]
Diffraction record for Li2Ca2Tl. The powder X-ray diffraction pattern is calculated, not measured: it uses a crystal structure in Alexandria, relaxed with PBE and Cu Kα (weighted mean of Kα1 and Kα2).

Peak list (6 most intense, 2θ from 10° to 90°, low angle first)
| d/Å | Position (°2θ) | Rel. int. |
| --- | --- | --- |
| 5.667 | 15.64 | 59 |
| 4.652 | 19.08 | 68 |
| 4.565 | 19.44 | 53 |
| 3.862 | 23.03 | 100 |
| 3.073 | 29.06 | 84 |
| 2.609 | 34.38 | 65 |

Structure:
abc: 6.286 6.286 10.269
angles: 113.24 113.24 48.99
Fractional positions:
Li1 0.123 0.123 0.480
Li2 0.364 0.364 0.939
Li3 0.636 0.636 0.061
Li4 0.877 0.877 0.520
Ca1 0.062 0.062 0.860
Ca2 0.315 0.315 0.316
Ca3 0.685 0.685 0.684
Ca4 0.938 0.938 0.140
Tl1 0.392 0.392 0.680
Tl2 0.608 0.608 0.320

---

[3]
Diffraction record for LiCa2Tl5. The powder X-ray diffraction pattern is calculated, not measured: it uses a crystal structure in Alexandria, relaxed with PBE and Cu Kα (weighted mean of Kα1 and Kα2).

Peak list (6 most intense, 2θ from 10° to 90°, low angle first)
| d/Å | Position (°2θ) | Rel. int. |
| --- | --- | --- |
| 5.075 | 17.48 | 26 |
| 4.082 | 21.77 | 25 |
| 2.844 | 31.45 | 100 |
| 2.537 | 35.37 | 20 |
| 2.429 | 37.01 | 30 |
| 1.755 | 52.13 | 23 |

Structure:
abc: 6.869 6.869 5.075
angles: 90.00 90.00 90.00
Fractional positions:
Li1 0.000 0.000 0.000
Ca1 0.000 0.500 0.500
Ca2 0.500 0.000 0.500
Tl1 0.000 0.000 0.500
Tl2 0.277 0.277 0.000
Tl3 0.277 0.723 0.000
Tl4 0.723 0.277 0.000
Tl5 0.723 0.723 0.000

---

[4]
Diffraction record for LiCa2Tl6. The powder X-ray diffraction pattern is calculated, not measured: it uses a crystal structure in Alexandria, relaxed with PBE and Cu Kα (weighted mean of Kα1 and Kα2).

Peak list (6 most intense, 2θ from 10° to 90°, low angle first)
| d/Å | Position (°2θ) | Rel. int. |
| --- | --- | --- |
| 4.254 | 20.88 | 78 |
| 3.474 | 25.64 | 65 |
| 2.771 | 32.30 | 97 |
| 2.653 | 33.78 | 58 |
| 2.501 | 35.91 | 100 |
| 2.262 | 39.85 | 62 |

Structure:
abc: 9.025 9.025 3.861
angles: 90.00 90.00 123.77
Fractional positions:
Li1 0.000 0.000 0.000
Ca1 0.307 0.693 0.500
Ca2 0.693 0.307 0.500
Tl1 0.031 0.339 0.000
Tl2 0.310 0.310 0.500
Tl3 0.339 0.031 0.000
Tl4 0.661 0.969 0.000
Tl5 0.690 0.690 0.500
Tl6 0.969 0.661 0.000

---

[5]
Diffraction record for Li3Ca4Tl2. The powder X-ray diffraction pattern is calculated, not measured: it uses a crystal structure in Alexandria, relaxed with PBE and Cu Kα (weighted mean of Kα1 and Kα2).

Peak list (6 most intense, 2θ from 10° to 90°, low angle first)
| d/Å | Position (°2θ) | Rel. int. |
| --- | --- | --- |
| 5.028 | 17.64 | 34 |
| 4.274 | 20.78 | 83 |
| 2.730 | 32.81 | 100 |
| 2.397 | 37.53 | 31 |
| 1.930 | 47.08 | 18 |
| 1.575 | 58.61 | 28 |

Structure:
abc: 5.453 5.453 10.056
angles: 90.03 90.03 60.00
Fractional positions:
Li1 0.000 0.000 0.000
Li2 0.333 0.333 0.488
Li3 0.667 0.667 0.512
Ca1 0.000 0.000 0.318
Ca2 0.000 0.000 0.682
Ca3 0.333 0.333 0.112
Ca4 0.667 0.667 0.888
Tl1 0.333 0.333 0.783
Tl2 0.667 0.667 0.217

---

[6]
Diffraction record for Li4Ca5Tl4. The powder X-ray diffraction pattern is calculated, not measured: it uses a crystal structure in Alexandria, relaxed with PBE and Cu Kα (weighted mean of Kα1 and Kα2).

Peak list (6 most intense, 2θ from 10° to 90°, low angle first)
| d/Å | Position (°2θ) | Rel. int. |
| --- | --- | --- |
| 4.679 | 18.97 | 86 |
| 4.185 | 21.23 | 76 |
| 3.394 | 26.26 | 100 |
| 2.747 | 32.59 | 61 |
| 2.537 | 35.38 | 91 |
| 2.270 | 39.71 | 58 |

Structure:
abc: 9.585 9.585 9.585
angles: 92.68 92.68 155.04
Fractional positions:
Li1 0.075 0.403 0.478
Li2 0.403 0.925 0.328
Li3 0.597 0.075 0.672
Li4 0.925 0.597 0.522
Ca1 0.132 0.785 0.917
Ca2 0.215 0.132 0.347
Ca3 0.500 0.500 0.000
Ca4 0.785 0.868 0.653
Ca5 0.868 0.215 0.083
Tl1 0.250 0.559 0.809
Tl2 0.441 0.250 0.691
Tl3 0.559 0.750 0.309
Tl4 0.750 0.441 0.191

---

[7]
Diffraction record for Li6CaTl6. The powder X-ray diffraction pattern is calculated, not measured: it uses a crystal structure in Alexandria, relaxed with PBE and Cu Kα (weighted mean of Kα1 and Kα2).

Peak list (6 most intense, 2θ from 10° to 90°, low angle first)
| d/Å | Position (°2θ) | Rel. int. |
| --- | --- | --- |
| 4.901 | 18.10 | 53 |
| 3.529 | 25.24 | 55 |
| 3.487 | 25.55 | 32 |
| 2.960 | 30.19 | 56 |
| 2.888 | 30.97 | 100 |
| 2.488 | 36.10 | 41 |

Structure:
abc: 7.576 7.576 7.576
angles: 134.00 99.38 98.18
Fractional positions:
Li1 0.000 0.000 0.500
Li2 0.000 0.500 0.000
Li3 0.238 0.000 0.238
Li4 0.500 0.000 0.000
Li5 0.500 0.500 0.500
Li6 0.762 0.000 0.762
Ca1 0.000 0.500 0.500
Tl1 0.183 0.183 0.000
Tl2 0.342 0.500 0.842
Tl3 0.342 0.842 0.500
Tl4 0.658 0.158 0.500
Tl5 0.658 0.500 0.158
Tl6 0.817 0.817 0.000

---

[8]
Diffraction record for LiCa5Tl. The powder X-ray diffraction pattern is calculated, not measured: it uses a crystal structure in Alexandria, relaxed with PBE and Cu Kα (weighted mean of Kα1 and Kα2).

Peak list (6 most intense, 2θ from 10° to 90°, low angle first)
| d/Å | Position (°2θ) | Rel. int. |
| --- | --- | --- |
| 6.870 | 12.89 | 100 |
| 5.410 | 16.39 | 30 |
| 3.598 | 24.75 | 29 |
| 3.435 | 25.94 | 22 |
| 3.004 | 29.74 | 24 |
| 2.939 | 30.41 | 26 |

Structure:
abc: 6.885 6.885 10.829
angles: 91.79 91.79 86.62
Fractional positions:
Li1 0.000 0.000 0.000
Li2 0.000 0.000 0.500
Ca1 0.054 0.616 0.326
Ca2 0.154 0.846 0.750
Ca3 0.255 0.419 0.996
Ca4 0.384 0.946 0.174
Ca5 0.419 0.255 0.496
Ca6 0.581 0.745 0.504
Ca7 0.616 0.054 0.826
Ca8 0.745 0.581 0.004
Ca9 0.846 0.154 0.250
Ca10 0.946 0.384 0.674
Tl1 0.491 0.509 0.750
Tl2 0.509 0.491 0.250

---

[9]
Diffraction record for LiCaV. The powder X-ray diffraction pattern is calculated, not measured: it uses a crystal structure in Alexandria, relaxed with PBE and Cu Kα (weighted mean of Kα1 and Kα2).

Peak list (6 most intense, 2θ from 10° to 90°, low angle first)
| d/Å | Position (°2θ) | Rel. int. |
| --- | --- | --- |
| 6.993 | 12.66 | 49 |
| 5.631 | 15.74 | 100 |
| 2.825 | 31.67 | 45 |
| 2.815 | 31.78 | 56 |
| 2.632 | 34.06 | 63 |
| 2.436 | 36.91 | 46 |

Structure:
abc: 3.217 6.197 7.513
angles: 108.57 95.68 103.73
Fractional positions:
Li1 0.000 0.000 0.000
Li2 0.415 0.126 0.763
Ca1 0.740 0.168 0.416
Ca2 0.918 0.564 0.156
V1 0.306 0.608 0.777
V2 0.569 0.673 0.577

---

[10]
Diffraction record for Li2CaW. The powder X-ray diffraction pattern is calculated, not measured: it uses a crystal structure in Alexandria, relaxed with PBE and Cu Kα (weighted mean of Kα1 and Kα2).

Peak list (6 most intense, 2θ from 10° to 90°, low angle first)
| d/Å | Position (°2θ) | Rel. int. |
| --- | --- | --- |
| 5.673 | 15.62 | 53 |
| 5.115 | 17.34 | 100 |
| 2.561 | 35.04 | 42 |
| 2.423 | 37.10 | 30 |
| 2.387 | 37.68 | 34 |
| 1.973 | 46.00 | 25 |

Structure:
abc: 5.310 5.310 5.689
angles: 94.19 94.19 30.01
Fractional positions:
Li1 0.242 0.242 0.199
Li2 0.758 0.758 0.801
Ca1 0.000 0.000 0.500
W1 0.500 0.500 0.000

---

[11]
Diffraction record for Li3CaW. The powder X-ray diffraction pattern is calculated, not measured: it uses a crystal structure in Alexandria, relaxed with PBE and Cu Kα (weighted mean of Kα1 and Kα2).

Peak list (6 most intense, 2θ from 10° to 90°, low angle first)
| d/Å | Position (°2θ) | Rel. int. |
| --- | --- | --- |
| 5.067 | 17.50 | 48 |
| 3.583 | 24.85 | 100 |
| 2.534 | 35.43 | 24 |
| 2.266 | 39.78 | 26 |
| 2.069 | 43.76 | 44 |
| 1.354 | 69.39 | 22 |

Structure:
abc: 5.067 5.067 5.067
angles: 90.00 90.00 90.00
Fractional positions:
Li1 0.000 0.000 0.500
Li2 0.000 0.500 0.000
Li3 0.500 0.000 0.000
Ca1 0.500 0.500 0.500
W1 0.000 0.000 0.000

---

[12]
Diffraction record for Li2CaY. The powder X-ray diffraction pattern is calculated, not measured: it uses a crystal structure in Alexandria, relaxed with PBE and Cu Kα (weighted mean of Kα1 and Kα2).

Peak list (6 most intense, 2θ from 10° to 90°, low angle first)
| d/Å | Position (°2θ) | Rel. int. |
| --- | --- | --- |
| 5.573 | 15.90 | 100 |
| 3.006 | 29.72 | 64 |
| 2.870 | 31.16 | 77 |
| 2.785 | 32.14 | 31 |
| 2.467 | 36.42 | 49 |
| 2.256 | 39.97 | 28 |

Structure:
abc: 11.330 11.330 11.330
angles: 17.92 17.92 17.92
Fractional positions:
Li1 0.248 0.248 0.248
Li2 0.752 0.752 0.752
Ca1 0.000 0.000 0.000
Y1 0.500 0.500 0.500